1.
For Na2InBi2, a structure optimized by DFT (PBE) gives the calculated X-ray powder pattern in this record (λ = 1.5418 Å (Cu Kα)).

Cell and atoms:
```
data_Na2InBi2
_cell_length_a 9.860
_cell_length_b 5.258
_cell_length_c 6.991
_cell_angle_alpha 90.00
_cell_angle_beta 124.51
_cell_angle_gamma 90.00
_symmetry_space_group_name_H-M 'C 1 2/m 1'
_symmetry_Int_Tables_number 12
_symmetry_space_group_name_Hall '-C 2y'
loop_
_atom_site_label
_atom_site_type_symbol
_atom_site_fract_x
_atom_site_fract_y
_atom_site_fract_z
Na1 Na 0.204 0.000 0.118
In1 In 0.000 0.000 0.500
Bi1 Bi 0.084 0.500 0.270
```

Most intense lines, 10 to 90 degrees two-theta, low angle first:
d/Å  I_rel  index
4.862  23  2 0 -1
4.415  46  1 1 0
4.180  46  1 1 -1
4.062  29  2 0 0
2.846  100  1 1 -2
2.774  98  3 1 -1
2.681  40  2 0 1
2.629  43  0 2 0
2.117  23  4 0 -3
1.877  29  2 2 1



2.
For NaIn3Bi4, a structure optimized by DFT (PBE) gives the calculated X-ray powder pattern in this record (λ = 1.5418 Å (Cu Kα)).

Cell and atoms:
```
data_NaIn3Bi4
_cell_length_a 13.467
_cell_length_b 5.842
_cell_length_c 6.518
_cell_angle_alpha 90.00
_cell_angle_beta 103.86
_cell_angle_gamma 90.00
_symmetry_space_group_name_H-M 'C 1 2/m 1'
_symmetry_Int_Tables_number 12
_symmetry_space_group_name_Hall '-C 2y'
loop_
_atom_site_label
_atom_site_type_symbol
_atom_site_fract_x
_atom_site_fract_y
_atom_site_fract_z
Na1 Na 0.000 0.000 0.000
In1 In 0.000 0.500 0.500
In2 In 0.119 0.500 0.154
Bi1 Bi 0.139 0.000 0.599
Bi2 Bi 0.243 0.000 0.214
```

Most intense lines, 10 to 90 degrees two-theta, low angle first:
d/Å  I_rel  index
6.538  26  2 0 0
3.161  60  2 0 -2
2.921  57  0 2 0
2.837  100  3 1 1
2.609  18  4 0 -2
2.414  58  5 1 -1
2.145  45  2 2 -2
1.899  25  1 1 3
1.670  21  3 3 1
1.570  15  5 3 -1



3.
For Na2In6Bi, a structure optimized by DFT (PBE) gives the calculated X-ray powder pattern in this record (λ = 1.5418 Å (Cu Kα)).

Cell and atoms:
```
data_Na2In6Bi
_cell_length_a 15.914
_cell_length_b 9.195
_cell_length_c 3.431
_cell_angle_alpha 90.00
_cell_angle_beta 92.95
_cell_angle_gamma 90.00
_symmetry_space_group_name_H-M 'C 1 2/m 1'
_symmetry_Int_Tables_number 12
_symmetry_space_group_name_Hall '-C 2y'
loop_
_atom_site_label
_atom_site_type_symbol
_atom_site_fract_x
_atom_site_fract_y
_atom_site_fract_z
Na1 Na 0.165 0.000 0.001
In1 In 0.000 0.169 0.500
In2 In 0.166 0.334 0.537
Bi1 Bi 0.000 0.500 0.000
```

Most intense lines, 10 to 90 degrees two-theta, low angle first:
d/Å  I_rel  index
7.955  47  1 1 0
3.426  14  0 0 1
2.806  31  3 1 -1
2.747  29  0 2 1
2.689  27  3 1 1
2.652  100  6 0 0
1.948  11  6 2 -1
1.869  11  6 2 1
1.530  17  9 3 0
1.457  11  3 3 -2



4.
For Na2InBi2, a structure optimized by DFT (PBE) gives the calculated X-ray powder pattern in this record (λ = 1.5418 Å (Cu Kα)).

Cell and atoms:
```
data_Na2InBi2
_cell_length_a 12.597
_cell_length_b 5.040
_cell_length_c 11.045
_cell_angle_alpha 90.00
_cell_angle_beta 114.25
_cell_angle_gamma 90.00
_symmetry_space_group_name_H-M 'C 1 2/m 1'
_symmetry_Int_Tables_number 12
_symmetry_space_group_name_Hall '-C 2y'
loop_
_atom_site_label
_atom_site_type_symbol
_atom_site_fract_x
_atom_site_fract_y
_atom_site_fract_z
Na1 Na 0.004 0.000 0.178
Na2 Na 0.159 0.000 0.583
In1 In 0.194 0.500 0.848
Bi1 Bi 0.045 0.500 0.385
Bi2 Bi 0.153 0.500 0.106
```

Most intense lines, 10 to 90 degrees two-theta, low angle first:
d/Å  I_rel  index
4.615  100  1 1 0
4.288  48  2 0 1
3.617  48  2 0 -3
2.957  20  1 1 -3
2.748  63  3 1 -3
2.685  74  3 1 1
2.519  68  0 2 0
2.251  23  5 1 -2
2.069  46  1 1 4
1.781  19  0 2 4



5.
For Na3In2Bi2, a structure optimized by DFT (PBE) gives the calculated X-ray powder pattern in this record (λ = 1.5418 Å (Cu Kα)).

Cell and atoms:
```
data_Na3In2Bi2
_cell_length_a 9.136
_cell_length_b 5.834
_cell_length_c 8.987
_cell_angle_alpha 90.00
_cell_angle_beta 119.54
_cell_angle_gamma 90.00
_symmetry_space_group_name_H-M 'C 1 2/m 1'
_symmetry_Int_Tables_number 12
_symmetry_space_group_name_Hall '-C 2y'
loop_
_atom_site_label
_atom_site_type_symbol
_atom_site_fract_x
_atom_site_fract_y
_atom_site_fract_z
Na1 Na 0.000 0.000 0.000
Na2 Na 0.151 0.000 0.425
In1 In 0.224 0.500 0.149
Bi1 Bi 0.070 0.500 0.743
```

Most intense lines, 10 to 90 degrees two-theta, low angle first:
d/Å  I_rel  index
4.703  99  1 1 0
4.567  41  2 0 -1
3.910  50  0 0 2
2.945  54  2 0 -3
2.917  64  0 2 0
2.667  96  3 1 -1
2.650  100  1 1 2
2.338  27  0 2 2
2.072  40  2 2 -3
1.632  35  3 3 -1



6.
For NaIn6Bi2, a structure optimized by DFT (PBE) gives the calculated X-ray powder pattern in this record (λ = 1.5418 Å (Cu Kα)).

Cell and atoms:
```
data_NaIn6Bi2
_cell_length_a 15.210
_cell_length_b 4.970
_cell_length_c 7.258
_cell_angle_alpha 90.00
_cell_angle_beta 110.66
_cell_angle_gamma 90.00
_symmetry_space_group_name_H-M 'C 1 2/m 1'
_symmetry_Int_Tables_number 12
_symmetry_space_group_name_Hall '-C 2y'
loop_
_atom_site_label
_atom_site_type_symbol
_atom_site_fract_x
_atom_site_fract_y
_atom_site_fract_z
Na1 Na 0.000 0.000 0.000
In1 In 0.110 0.000 0.675
In2 In 0.171 0.500 0.002
In3 In 0.221 0.000 0.330
Bi1 Bi 0.065 0.500 0.349
```

Most intense lines, 10 to 90 degrees two-theta, low angle first:
d/Å  I_rel  index
4.692  8  1 1 0
2.793  100  3 1 -2
2.535  19  6 0 -1
2.485  18  0 2 0
2.264  14  0 0 3
1.775  13  6 2 -1
1.673  11  0 2 3
1.510  7  9 1 -3
1.507  7  9 1 0
1.487  14  3 3 -2